For MnCrCuS4, a cell relaxed with GGA-PBE gives the simulated X-ray diffraction stick pattern in this record (copper Kα).
No peak broadening, texture or thermal motion is included.

Atomic structure:
Cell lengths 6.953, 6.953, 6.953 Å; angles 120.09, 119.78, 90.11 degrees
Positions (direct):
Mn 0.500 0.000 0.000
Mn 0.500 0.500 0.500
Cr 0.000 0.000 0.000
Cr 0.500 0.000 0.500
Cu 0.127 0.377 0.750
Cu 0.873 0.623 0.250
S 0.260 0.244 0.483
S 0.260 0.777 0.017
S 0.261 0.243 0.018
S 0.275 0.757 0.518
S 0.725 0.243 0.482
S 0.739 0.757 0.982
S 0.740 0.223 0.983
S 0.740 0.756 0.517

Largest 6 diffraction maxima, low angle first, 2θ = 15–90°:
d = 3.479 Å, 25.6 deg, intensity 32
d = 2.966 Å, 30.1 deg, intensity 100
d = 2.459 Å, 36.5 deg, intensity 41
d = 1.894 Å, 48.0 deg, intensity 30
d = 1.891 Å, 48.1 deg, intensity 16
d = 1.738 Å, 52.7 deg, intensity 71

=====

For CsAg8S6, a cell relaxed with GGA-PBE gives the simulated X-ray diffraction stick pattern in this record (copper Kα).
No peak broadening, texture or thermal motion is included.

Atomic structure:
Cell lengths 7.133, 7.133, 7.133 Å; angles 98.18, 98.18, 98.18 degrees
Positions (direct):
Cs 0.000 0.000 0.000
Ag 0.169 0.500 0.831
Ag 0.169 0.831 0.500
Ag 0.354 0.354 0.354
Ag 0.500 0.169 0.831
Ag 0.500 0.831 0.169
Ag 0.646 0.646 0.646
Ag 0.831 0.169 0.500
Ag 0.831 0.500 0.169
S 0.206 0.206 0.604
S 0.206 0.604 0.206
S 0.396 0.794 0.794
S 0.604 0.206 0.206
S 0.794 0.396 0.794
S 0.794 0.794 0.396

Largest 6 diffraction maxima, low angle first, 2θ = 15–90°:
d = 3.112 Å, 28.7 deg, intensity 100
d = 2.926 Å, 30.6 deg, intensity 83
d = 2.132 Å, 42.4 deg, intensity 46
d = 1.797 Å, 50.8 deg, intensity 31
d = 1.759 Å, 52.0 deg, intensity 37
d = 1.520 Å, 61.0 deg, intensity 20

=====

For Tb3Y2Se4, a cell relaxed with GGA-PBE gives the simulated X-ray diffraction stick pattern in this record (copper Kα).
No peak broadening, texture or thermal motion is included.

Atomic structure:
Cell lengths 3.995, 3.995, 16.768 Å; angles 90.01, 90.01, 60.01 degrees
Positions (direct):
Tb 0.000 0.000 0.000
Tb 0.334 0.334 0.416
Tb 0.666 0.666 0.584
Y 0.333 0.333 0.792
Y 0.667 0.667 0.208
Se 0.001 0.001 0.309
Se 0.334 0.334 0.104
Se 0.666 0.666 0.896
Se 0.999 0.999 0.691

Largest 6 diffraction maxima, low angle first, 2θ = 15–90°:
d = 2.942 Å, 30.4 deg, intensity 100
d = 2.669 Å, 33.6 deg, intensity 14
d = 2.174 Å, 41.5 deg, intensity 28
d = 1.998 Å, 45.4 deg, intensity 37
d = 1.653 Å, 55.6 deg, intensity 18
d = 1.273 Å, 74.5 deg, intensity 15

=====

Copy entry 3 word for word.
For Tb3Y2Se4, a cell relaxed with GGA-PBE gives the simulated X-ray diffraction stick pattern in this record (copper Kα).
No peak broadening, texture or thermal motion is included.

Atomic structure:
Cell lengths 3.995, 3.995, 16.768 Å; angles 90.01, 90.01, 60.01 degrees
Positions (direct):
Tb 0.000 0.000 0.000
Tb 0.334 0.334 0.416
Tb 0.666 0.666 0.584
Y 0.333 0.333 0.792
Y 0.667 0.667 0.208
Se 0.001 0.001 0.309
Se 0.334 0.334 0.104
Se 0.666 0.666 0.896
Se 0.999 0.999 0.691

Largest 6 diffraction maxima, low angle first, 2θ = 15–90°:
d = 2.942 Å, 30.4 deg, intensity 100
d = 2.669 Å, 33.6 deg, intensity 14
d = 2.174 Å, 41.5 deg, intensity 28
d = 1.998 Å, 45.4 deg, intensity 37
d = 1.653 Å, 55.6 deg, intensity 18
d = 1.273 Å, 74.5 deg, intensity 15